1.
For Zn2PtO4, a cell relaxed with GGA-PBE gives the calculated XRD peak list in this record (λ = 1.5418 Å (Cu Kα)).

Principal peaks in the range 10 to 80 degrees two-theta, in order of falling intensity:
2theta, intensity
34.02, 100
17.92, 70
60.02, 31
55.72, 26
35.31, 26
41.90, 21
34.80, 17
36.29, 15
29.87, 15
62.54, 13

```
data_Zn2PtO4
_cell_length_a 5.983
_cell_length_b 6.222
_cell_length_c 8.817
_cell_angle_alpha 90.00
_cell_angle_beta 90.00
_cell_angle_gamma 90.00
_symmetry_space_group_name_H-M 'I m m a'
_symmetry_Int_Tables_number 74
_symmetry_space_group_name_Hall '-I 2b 2'
loop_
_atom_site_label
_atom_site_type_symbol
_atom_site_fract_x
_atom_site_fract_y
_atom_site_fract_z
_atom_site_occupancy
Zn1 Zn 0.000 0.250 0.150 1
Zn2 Zn 0.250 0.250 0.750 1
Pt1 Pt 0.000 0.000 0.500 1
O1 O 0.000 0.019 0.732 1
O2 O 0.226 0.250 0.499 1
```

2.
For ZnPt3O4, a cell relaxed with GGA-PBE gives the calculated XRD peak list in this record (λ = 1.5418 Å (Cu Kα)).

Principal peaks in the range 10 to 80 degrees two-theta, in order of falling intensity:
2theta, intensity
34.53, 100
37.94, 37
57.18, 24
74.92, 22
59.55, 20
54.74, 20
21.64, 16
64.13, 14
30.79, 9
77.00, 5

```
data_ZnPt3O4
_cell_length_a 5.809
_cell_length_b 5.809
_cell_length_c 5.809
_cell_angle_alpha 90.00
_cell_angle_beta 90.00
_cell_angle_gamma 90.00
_symmetry_space_group_name_H-M 'P m -3 n'
_symmetry_Int_Tables_number 223
_symmetry_space_group_name_Hall '-P 4n 2 3'
loop_
_atom_site_label
_atom_site_type_symbol
_atom_site_fract_x
_atom_site_fract_y
_atom_site_fract_z
_atom_site_occupancy
Zn1 Zn 0.000 0.000 0.000 1
Pt1 Pt 0.000 0.250 0.500 1
O1 O 0.250 0.250 0.250 1
```

3.
For PuO, a cell relaxed with GGA-PBE gives the calculated XRD peak list in this record (λ = 1.5418 Å (Cu Kα)).

Principal peaks in the range 10 to 80 degrees two-theta, in order of falling intensity:
2theta, intensity
31.14, 100
36.11, 68
51.99, 49
61.86, 47
64.93, 17
76.61, 8

```
data_PuO
_cell_length_a 4.975
_cell_length_b 4.975
_cell_length_c 4.975
_cell_angle_alpha 90.00
_cell_angle_beta 90.00
_cell_angle_gamma 90.00
_symmetry_space_group_name_H-M 'F m -3 m'
_symmetry_Int_Tables_number 225
_symmetry_space_group_name_Hall '-F 4 2 3'
loop_
_atom_site_label
_atom_site_type_symbol
_atom_site_fract_x
_atom_site_fract_y
_atom_site_fract_z
_atom_site_occupancy
Pu1 Pu 0.000 0.000 0.000 1
O1 O 0.000 0.000 0.500 1
```

4.
For Pu3O2, a cell relaxed with GGA-PBE gives the calculated XRD peak list in this record (λ = 1.5418 Å (Cu Kα)).

Principal peaks in the range 10 to 80 degrees two-theta, in order of falling intensity:
2theta, intensity
33.07, 100
31.74, 22
61.53, 22
51.23, 22
57.39, 22
28.91, 19
43.46, 19
62.34, 17
69.39, 5
66.31, 3

```
data_Pu3O2
_cell_length_a 6.1771
_cell_length_b 6.1771
_cell_length_c 16.9161
_cell_angle_alpha 90.00
_cell_angle_beta 90.00
_cell_angle_gamma 120.00
_symmetry_space_group_name_H-M 'R -3 c'
_symmetry_Int_Tables_number 167
_symmetry_space_group_name_Hall '-R 3 2"c'
loop_
_atom_site_label
_atom_site_type_symbol
_atom_site_fract_x
_atom_site_fract_y
_atom_site_fract_z
_atom_site_occupancy
Pu1 Pu 0.0000 0.3319 0.2500 1
O1 O 0.0000 0.0000 0.1623 1
```